This entry pairs a crystal structure of Tl5AgBr7 with its simulated X-ray powder pattern. Radiation: a wavelength of 1.5418 Å. Structure: a PBE-relaxed structure.
Kinematic intensities with the Lorentz-polarization factor, no thermal factor.

Cell and atoms:
a b c (Å): 8.3137 8.3137 27.3392
angles (deg): 94.73 94.73 30.75
Fractional coordinates of all 26 atoms:
Tl: 0.0000 0.0000 0.0000
Tl: 0.0014 0.0014 0.4995
Tl: 0.2757 0.2757 0.9141
Tl: 0.2924 0.2924 0.5718
Tl: 0.4228 0.4228 0.3393
Tl: 0.4670 0.4670 0.1496
Tl: 0.5355 0.5355 0.8454
Tl: 0.5803 0.5803 0.6614
Tl: 0.7098 0.7098 0.4274
Tl: 0.7279 0.7279 0.0723
Ag: 0.1509 0.1509 0.2938
Ag: 0.8490 0.8490 0.7041
Br: 0.0642 0.0642 0.3865
Br: 0.1005 0.1005 0.1069
Br: 0.1426 0.1426 0.8147
Br: 0.2398 0.2398 0.6838
Br: 0.3609 0.3609 0.4567
Br: 0.3640 0.3640 0.0274
Br: 0.4368 0.4368 0.7528
Br: 0.5587 0.5587 0.2552
Br: 0.6327 0.6327 0.9449
Br: 0.6422 0.6422 0.5479
Br: 0.7639 0.7639 0.3173
Br: 0.8360 0.8360 0.1687
Br: 0.9185 0.9185 0.8802
Br: 0.9391 0.9391 0.6189

Most intense lines, 15 to 90 degrees two-theta, sorted by position:
d/Å, Position (°2θ), Rel. int.
3.810, 23.3, 57
3.344, 26.7, 100
3.254, 27.4, 71
3.237, 27.6, 96
2.495, 36.0, 29
2.402, 37.4, 29
2.318, 38.9, 31
2.317, 38.9, 36
2.270, 39.7, 35
2.204, 40.9, 60

This entry pairs a crystal structure of Pm6HgSb5 with its simulated X-ray powder pattern. Radiation: a wavelength of 1.5418 Å. Structure: a PBE-relaxed structure.
Kinematic intensities with the Lorentz-polarization factor, no thermal factor.

Cell and atoms:
a b c (Å): 7.7533 7.7533 7.7744
angles (deg): 99.55 99.55 119.71
Fractional coordinates of all 12 atoms:
Pm: 0.0683 0.4138 0.7446
Pm: 0.2401 0.2401 0.2561
Pm: 0.4138 0.0683 0.7446
Pm: 0.5862 0.9317 0.2554
Pm: 0.7599 0.7599 0.7439
Pm: 0.9317 0.5862 0.2554
Hg: 0.5000 0.5000 0.0000
Sb: 0.0000 0.0000 0.5000
Sb: 0.1674 0.8326 0.0000
Sb: 0.3362 0.6638 0.5000
Sb: 0.6638 0.3362 0.5000
Sb: 0.8326 0.1674 0.0000

Most intense lines, 15 to 90 degrees two-theta, sorted by position:
d/Å, Position (°2θ), Rel. int.
3.172, 28.1, 100
2.251, 40.0, 13
2.243, 40.2, 51
2.235, 40.4, 13
1.836, 49.7, 14
1.827, 49.9, 13
1.586, 58.2, 13
1.419, 65.8, 23
1.299, 72.8, 6
1.293, 73.2, 8

This entry pairs a crystal structure of Tb2PrY12 with its simulated X-ray powder pattern. Radiation: a wavelength of 1.5418 Å. Structure: a PBE-relaxed structure.
Kinematic intensities with the Lorentz-polarization factor, no thermal factor.

Cell and atoms:
a b c (Å): 6.6736 6.6736 24.5320
angles (deg): 92.25 92.25 115.05
Fractional coordinates of all 30 atoms:
Tb: 0.0627 0.0627 0.2723
Tb: 0.4268 0.4268 0.7269
Tb: 0.5732 0.5732 0.2731
Tb: 0.9373 0.9373 0.7277
Pr: 0.2505 0.2505 0.0011
Pr: 0.7495 0.7495 0.9989
Y: 0.0474 0.5526 0.2023
Y: 0.0878 0.5770 0.3307
Y: 0.1409 0.1409 0.5790
Y: 0.1438 0.6332 0.5547
Y: 0.2162 0.2162 0.8628
Y: 0.2315 0.7317 0.9249
Y: 0.2683 0.7685 0.0751
Y: 0.2848 0.2848 0.1402
Y: 0.3508 0.3508 0.4298
Y: 0.3668 0.8562 0.4453
Y: 0.4230 0.9122 0.6693
Y: 0.4474 0.9526 0.7977
Y: 0.5526 0.0474 0.2023
Y: 0.5770 0.0878 0.3307
Y: 0.6332 0.1438 0.5547
Y: 0.6492 0.6492 0.5702
Y: 0.7151 0.7151 0.8598
Y: 0.7317 0.2315 0.9249
Y: 0.7685 0.2683 0.0751
Y: 0.7838 0.7838 0.1372
Y: 0.8562 0.3668 0.4453
Y: 0.8591 0.8591 0.4210
Y: 0.9122 0.4230 0.6693
Y: 0.9526 0.4474 0.7977

Most intense lines, 15 to 90 degrees two-theta, sorted by position:
d/Å, Position (°2θ), Rel. int.
2.971, 30.1, 100
2.888, 31.0, 41
2.815, 31.8, 55
2.790, 32.1, 38
2.775, 32.3, 51
2.687, 33.3, 28
1.982, 45.8, 28
1.654, 55.6, 18
1.534, 60.3, 17
1.511, 61.3, 16

This entry pairs a crystal structure of LiEr8Tc2 with its simulated X-ray powder pattern. Radiation: a wavelength of 1.5418 Å. Structure: a PBE-relaxed structure.
Kinematic intensities with the Lorentz-polarization factor, no thermal factor.

Cell and atoms:
a b c (Å): 7.7198 7.7198 5.6391
angles (deg): 98.46 98.46 111.81
Fractional coordinates of all 11 atoms:
Li: 0.0000 0.0000 0.0000
Er: 0.0668 0.3317 0.5846
Er: 0.2426 0.7544 0.0007
Er: 0.3317 0.0668 0.5846
Er: 0.3900 0.3900 0.2044
Er: 0.6096 0.6096 0.7980
Er: 0.6663 0.9314 0.4163
Er: 0.7544 0.2426 0.0007
Er: 0.9314 0.6663 0.4163
Tc: 0.3125 0.6862 0.5014
Tc: 0.6862 0.3125 0.5014

Most intense lines, 15 to 90 degrees two-theta, sorted by position:
d/Å, Position (°2θ), Rel. int.
3.288, 27.1, 33
2.957, 30.2, 100
2.756, 32.5, 82
2.748, 32.6, 41
2.727, 32.8, 74
2.538, 35.4, 56
2.504, 35.9, 38
2.332, 38.6, 38
1.985, 45.7, 29
1.406, 66.5, 37

This entry pairs a crystal structure of Al2TePRu with its simulated X-ray powder pattern. Radiation: a wavelength of 1.5418 Å. Structure: a PBE-relaxed structure.
Kinematic intensities with the Lorentz-polarization factor, no thermal factor.

Cell and atoms:
a b c (Å): 5.1968 5.1968 4.8644
angles (deg): 90.00 90.00 90.00
Fractional coordinates of all 5 atoms:
Al: 0.0000 0.5000 0.0000
Al: 0.5000 0.0000 0.0000
Te: 0.0000 0.0000 0.0000
P: 0.5000 0.5000 0.5000
Ru: 0.0000 0.0000 0.5000

Most intense lines, 15 to 90 degrees two-theta, sorted by position:
d/Å, Position (°2θ), Rel. int.
5.197, 17.1, 100
3.675, 24.2, 48
2.598, 34.5, 44
2.432, 37.0, 18
2.324, 38.7, 26
2.203, 41.0, 22
2.028, 44.7, 18
1.837, 49.6, 15
1.776, 51.5, 28
1.680, 54.6, 19

This entry pairs a crystal structure of Na5Sn4Sb4 with its simulated X-ray powder pattern. Radiation: a wavelength of 1.5418 Å. Structure: a PBE-relaxed structure.
Kinematic intensities with the Lorentz-polarization factor, no thermal factor.

Cell and atoms:
a b c (Å): 9.2996 9.2996 9.2996
angles (deg): 94.05 94.05 149.18
Fractional coordinates of all 13 atoms:
Na: 0.0000 0.0000 0.0000
Na: 0.2957 0.3720 0.6677
Na: 0.3720 0.7044 0.0764
Na: 0.6280 0.2957 0.9236
Na: 0.7044 0.6280 0.3323
Sn: 0.1015 0.5808 0.6823
Sn: 0.4192 0.1015 0.5208
Sn: 0.5808 0.8985 0.4792
Sn: 0.8985 0.4192 0.3177
Sb: 0.0651 0.2429 0.3079
Sb: 0.2429 0.9349 0.1778
Sb: 0.7571 0.0651 0.8222
Sb: 0.9349 0.7571 0.6921

Most intense lines, 15 to 90 degrees two-theta, sorted by position:
d/Å, Position (°2θ), Rel. int.
4.605, 19.3, 13
4.009, 22.2, 23
2.865, 31.2, 100
2.611, 34.3, 19
2.487, 36.1, 20
2.471, 36.4, 21
2.256, 40.0, 30
2.113, 42.8, 15
1.753, 52.2, 14
1.492, 62.2, 14

This entry pairs a crystal structure of Zn8Cu2Ni with its simulated X-ray powder pattern. Radiation: a wavelength of 1.5418 Å. Structure: a PBE-relaxed structure.
Kinematic intensities with the Lorentz-polarization factor, no thermal factor.

Cell and atoms:
a b c (Å): 4.0895 6.3259 7.0469
angles (deg): 116.65 106.25 90.01
Fractional coordinates of all 11 atoms:
Zn: 0.0000 0.0000 0.0000
Zn: 0.0314 0.5319 0.0710
Zn: 0.1923 0.0092 0.3899
Zn: 0.3537 0.8520 0.7094
Zn: 0.3851 0.3895 0.7803
Zn: 0.5728 0.2613 0.1470
Zn: 0.6921 0.7072 0.3900
Zn: 0.8132 0.5069 0.6355
Cu: 0.5447 0.8283 0.0928
Cu: 0.8406 0.1257 0.6870
Ni: 0.1926 0.4215 0.3907

Most intense lines, 15 to 90 degrees two-theta, sorted by position:
d/Å, Position (°2θ), Rel. int.
2.796, 32.0, 17
2.267, 39.8, 28
2.244, 40.2, 28
2.126, 42.5, 100
2.112, 42.8, 98
2.076, 43.6, 41
2.054, 44.1, 15
2.045, 44.3, 66
1.994, 45.5, 26
1.191, 80.7, 16

This entry pairs a crystal structure of PmSi2Pd3 with its simulated X-ray powder pattern. Radiation: a wavelength of 1.5418 Å. Structure: a PBE-relaxed structure.
Kinematic intensities with the Lorentz-polarization factor, no thermal factor.

Cell and atoms:
a b c (Å): 8.4514 8.4514 9.9692
angles (deg): 108.08 108.08 27.60
Fractional coordinates of all 18 atoms:
Pm: 0.0000 0.0000 0.0000
Pm: 0.1534 0.1534 0.6935
Pm: 0.8466 0.8466 0.3065
Si: 0.2002 0.2002 0.1313
Si: 0.3637 0.3637 0.5520
Si: 0.4654 0.4654 0.2230
Si: 0.5346 0.5346 0.7770
Si: 0.6363 0.6363 0.4480
Si: 0.7998 0.7998 0.8687
Pd: 0.0426 0.0426 0.3326
Pd: 0.2206 0.2206 0.3931
Pd: 0.3219 0.3219 0.0388
Pd: 0.3732 0.3732 0.7988
Pd: 0.5000 0.5000 0.5000
Pd: 0.6268 0.6268 0.2012
Pd: 0.6781 0.6781 0.9612
Pd: 0.7794 0.7794 0.6069
Pd: 0.9574 0.9574 0.6674

Most intense lines, 15 to 90 degrees two-theta, sorted by position:
d/Å, Position (°2θ), Rel. int.
2.851, 31.4, 49
2.592, 34.6, 16
2.553, 35.2, 100
2.546, 35.3, 32
2.453, 36.6, 27
2.248, 40.1, 26
2.114, 42.8, 17
2.082, 43.5, 16
2.019, 44.9, 22
2.016, 45.0, 41

This entry pairs a crystal structure of TiNb2In2 with its simulated X-ray powder pattern. Radiation: a wavelength of 1.5418 Å. Structure: a PBE-relaxed structure.
Kinematic intensities with the Lorentz-polarization factor, no thermal factor.

Cell and atoms:
a b c (Å): 4.7993 4.7993 14.5677
angles (deg): 90.00 90.00 120.00
Fractional coordinates of all 15 atoms:
Ti: 0.0000 0.0000 0.0000
Ti: 0.3333 0.6667 0.6667
Ti: 0.6667 0.3333 0.3333
Nb: 0.0000 0.0000 0.1915
Nb: 0.0000 0.0000 0.8085
Nb: 0.3333 0.6667 0.4751
Nb: 0.3333 0.6667 0.8582
Nb: 0.6667 0.3333 0.1418
Nb: 0.6667 0.3333 0.5249
In: 0.0000 0.0000 0.4008
In: 0.0000 0.0000 0.5992
In: 0.3333 0.6667 0.0675
In: 0.3333 0.6667 0.2658
In: 0.6667 0.3333 0.7342
In: 0.6667 0.3333 0.9325

Most intense lines, 15 to 90 degrees two-theta, sorted by position:
d/Å, Position (°2θ), Rel. int.
3.997, 22.2, 9
2.739, 32.7, 9
2.400, 37.5, 100
2.386, 37.7, 95
1.692, 54.2, 32
1.385, 67.6, 17
1.383, 67.8, 32
1.375, 68.2, 14
1.200, 80.0, 10
1.193, 80.5, 9

This entry pairs a crystal structure of Ho8Tl4PS3 with its simulated X-ray powder pattern. Radiation: a wavelength of 1.5418 Å. Structure: a PBE-relaxed structure.
Kinematic intensities with the Lorentz-polarization factor, no thermal factor.

Cell and atoms:
a b c (Å): 9.0461 9.0461 9.0461
angles (deg): 50.14 50.14 50.14
Fractional coordinates of all 16 atoms:
Ho: 0.2342 0.2342 0.2342
Ho: 0.2354 0.7330 0.7330
Ho: 0.2670 0.2670 0.7646
Ho: 0.2670 0.7646 0.2670
Ho: 0.7330 0.2354 0.7330
Ho: 0.7330 0.7330 0.2354
Ho: 0.7646 0.2670 0.2670
Ho: 0.7658 0.7658 0.7658
Tl: 0.0000 0.0000 0.0000
Tl: 0.0000 0.5000 0.5000
Tl: 0.5000 0.0000 0.5000
Tl: 0.5000 0.5000 0.0000
P: 0.5000 0.5000 0.5000
S: 0.0000 0.0000 0.5000
S: 0.0000 0.5000 0.0000
S: 0.5000 0.0000 0.0000

Most intense lines, 15 to 90 degrees two-theta, sorted by position:
d/Å, Position (°2θ), Rel. int.
3.287, 27.1, 19
2.895, 30.9, 100
2.718, 33.0, 31
2.630, 34.1, 16
2.209, 40.9, 35
1.916, 47.4, 34
1.597, 57.7, 31
1.549, 59.7, 20
1.448, 64.4, 9
1.227, 77.8, 20

This entry pairs a crystal structure of Li3ICl2 with its simulated X-ray powder pattern. Radiation: a wavelength of 1.5418 Å. Structure: a PBE-relaxed structure.
Kinematic intensities with the Lorentz-polarization factor, no thermal factor.

Cell and atoms:
a b c (Å): 4.1648 12.4729 5.7278
angles (deg): 90.00 90.00 90.00
Fractional coordinates of all 12 atoms:
Li: 0.0000 0.0000 0.0000
Li: 0.0000 0.3145 0.0902
Li: 0.0000 0.6855 0.0902
Li: 0.5000 0.1855 0.5902
Li: 0.5000 0.5000 0.5000
Li: 0.5000 0.8145 0.5902
I: 0.0000 0.5000 0.8144
I: 0.5000 0.0000 0.3144
Cl: 0.0000 0.1720 0.8088
Cl: 0.0000 0.8280 0.8088
Cl: 0.5000 0.3280 0.3088
Cl: 0.5000 0.6720 0.3088

Most intense lines, 15 to 90 degrees two-theta, sorted by position:
d/Å, Position (°2θ), Rel. int.
5.205, 17.0, 27
3.950, 22.5, 15
3.367, 26.5, 100
2.964, 30.2, 14
2.942, 30.4, 29
2.864, 31.2, 14
2.081, 43.5, 14
2.052, 44.1, 26
1.770, 51.6, 28
1.735, 52.8, 13

This entry pairs a crystal structure of CsSrAl2Cl8 with its simulated X-ray powder pattern. Radiation: a wavelength of 1.5418 Å. Structure: a PBE-relaxed structure.
Kinematic intensities with the Lorentz-polarization factor, no thermal factor.

Cell and atoms:
a b c (Å): 10.8001 10.8001 10.8001
angles (deg): 37.07 37.07 37.07
Fractional coordinates of all 12 atoms:
Cs: 0.0000 0.0000 0.0000
Sr: 0.5000 0.5000 0.5000
Al: 0.2479 0.2479 0.2479
Al: 0.7521 0.7521 0.7521
Cl: 0.0830 0.4570 0.7844
Cl: 0.2156 0.9170 0.5430
Cl: 0.3204 0.3204 0.3204
Cl: 0.4570 0.7844 0.0830
Cl: 0.5430 0.2156 0.9170
Cl: 0.6796 0.6796 0.6796
Cl: 0.7844 0.0830 0.4570
Cl: 0.9170 0.5430 0.2156

Most intense lines, 15 to 90 degrees two-theta, sorted by position:
d/Å, Position (°2θ), Rel. int.
4.668, 19.0, 100
3.433, 26.0, 37
3.349, 26.6, 21
3.249, 27.5, 61
3.182, 28.0, 25
2.834, 31.6, 83
2.766, 32.4, 21
2.154, 41.9, 22
2.027, 44.7, 43
1.982, 45.8, 38